Record 1
# CdSb2Pd
Theoretical powder X-ray diffraction pattern, a wavelength of 1.5418 Å. Input: the PBE geometry in Alexandria.
Neutral-atom scattering factors, no anomalous dispersion.

Main lines, low angle first (5 to 70 degrees two-theta):
2theta	I (rel.)
14.1	11
24.4	16
25.8	31
30.6	25
33.9	100
41.4	20
42.1	70
45.6	11
54.6	12
55.1	24

Cell and atoms:
a = 4.2937 Å, b = 4.2937 Å, c = 18.8433 Å
α = 90.00°, β = 90.00°, γ = 120.00°
Positions (direct):
Cd (0.0000, 0.0000, 0.0000)
Cd (0.3333, 0.6667, 0.6667)
Cd (0.6667, 0.3333, 0.3333)
Sb (0.0000, 0.0000, 0.5631)
Sb (0.0000, 0.0000, 0.7683)
Sb (0.3333, 0.6667, 0.2297)
Sb (0.3333, 0.6667, 0.4350)
Sb (0.6667, 0.3333, 0.1017)
Sb (0.6667, 0.3333, 0.8964)
Pd (0.0000, 0.0000, 0.1606)
Pd (0.3333, 0.6667, 0.8272)
Pd (0.6667, 0.3333, 0.4939)

Record 2
# Th4AuN
Theoretical powder X-ray diffraction pattern, a wavelength of 1.5418 Å. Input: the PBE geometry in Alexandria.
Neutral-atom scattering factors, no anomalous dispersion.

Main lines, low angle first (5 to 70 degrees two-theta):
2theta	I (rel.)
24.9	22
29.5	39
29.7	100
31.8	45
32.8	82
33.0	32
33.2	26
33.7	38
50.3	29
53.0	27

Cell and atoms:
a = 8.4090 Å, b = 8.4090 Å, c = 6.2706 Å
α = 105.22°, β = 105.22°, γ = 120.68°
Positions (direct):
Th (0.0589, 0.6561, 0.8424)
Th (0.1692, 0.2707, 0.7119)
Th (0.2707, 0.1692, 0.2119)
Th (0.3439, 0.9411, 0.6576)
Th (0.6561, 0.0589, 0.3424)
Th (0.7293, 0.8308, 0.7881)
Th (0.8308, 0.7293, 0.2881)
Th (0.9411, 0.3439, 0.1576)
Au (0.3856, 0.6144, 0.2500)
Au (0.6144, 0.3856, 0.7500)
N (0.0635, 0.9365, 0.7500)
N (0.9365, 0.0635, 0.2500)

Record 3
# Sm5Tl6
Theoretical powder X-ray diffraction pattern, a wavelength of 1.5418 Å. Input: the PBE geometry in Alexandria.
Neutral-atom scattering factors, no anomalous dispersion.

Main lines, low angle first (5 to 70 degrees two-theta):
2theta	I (rel.)
32.7	25
33.1	100
33.3	25
47.3	9
47.6	18
58.6	9
58.8	9
58.9	9
59.3	19
59.5	9

Cell and atoms:
a = 9.4306 Å, b = 9.4306 Å, c = 5.3757 Å
α = 106.29°, β = 106.29°, γ = 47.86°
Positions (direct):
Sm (0.0000, 0.0000, 0.0000)
Sm (0.1694, 0.1694, 0.6690)
Sm (0.3447, 0.3447, 0.3449)
Sm (0.6553, 0.6553, 0.6551)
Sm (0.8306, 0.8306, 0.3310)
Tl (0.0878, 0.5846, 0.8367)
Tl (0.2527, 0.7473, 0.5000)
Tl (0.4154, 0.9122, 0.1633)
Tl (0.5846, 0.0878, 0.8367)
Tl (0.7473, 0.2527, 0.5000)
Tl (0.9122, 0.4154, 0.1633)

Record 4
# MgTl2CuCl6
Theoretical powder X-ray diffraction pattern, a wavelength of 1.5418 Å. Input: the PBE geometry in Alexandria.
Neutral-atom scattering factors, no anomalous dispersion.

Main lines, low angle first (5 to 70 degrees two-theta):
2theta	I (rel.)
17.2	62
24.2	48
24.8	46
25.1	96
25.5	88
30.2	36
30.9	36
31.0	77
34.9	100
37.3	41

Cell and atoms:
a = 7.3649 Å, b = 7.1888 Å, c = 11.9868 Å
α = 90.00°, β = 126.51°, γ = 90.00°
Positions (direct):
Mg (0.0000, 0.0000, 0.0000)
Mg (0.0000, 0.5000, 0.5000)
Tl (0.2434, 0.0128, 0.7468)
Tl (0.2434, 0.4872, 0.2468)
Tl (0.7566, 0.5128, 0.7532)
Tl (0.7566, 0.9872, 0.2532)
Cu (0.5000, 0.0000, 0.5000)
Cu (0.5000, 0.5000, 0.0000)
Cl (0.1844, 0.2403, 0.9698)
Cl (0.1844, 0.2597, 0.4698)
Cl (0.2526, 0.7414, 0.9689)
Cl (0.2526, 0.7586, 0.4689)
Cl (0.3223, 0.0153, 0.2635)
Cl (0.3223, 0.4847, 0.7635)
Cl (0.6777, 0.5153, 0.2365)
Cl (0.6777, 0.9847, 0.7365)
Cl (0.7474, 0.2414, 0.5311)
Cl (0.7474, 0.2586, 0.0311)
Cl (0.8156, 0.7403, 0.5302)
Cl (0.8156, 0.7597, 0.0302)

Record 5
# ScGaO3
Theoretical powder X-ray diffraction pattern, a wavelength of 1.5418 Å. Input: the PBE geometry in Alexandria.
Neutral-atom scattering factors, no anomalous dispersion.

Main lines, low angle first (5 to 70 degrees two-theta):
2theta	I (rel.)
15.3	12
30.8	37
31.9	100
34.6	42
38.9	13
50.4	25
54.9	41
57.3	20
64.3	25
64.8	11

Cell and atoms:
a = 5.7886 Å, b = 5.7886 Å, c = 11.6058 Å
α = 90.00°, β = 90.00°, γ = 120.00°
Positions (direct):
Sc (0.0000, 0.0000, 0.0000)
Sc (0.0000, 0.0000, 0.5000)
Sc (0.3333, 0.6667, 0.4616)
Sc (0.3333, 0.6667, 0.9616)
Sc (0.6667, 0.3333, 0.4616)
Sc (0.6667, 0.3333, 0.9616)
Ga (0.0000, 0.3340, 0.2273)
Ga (0.0000, 0.6660, 0.7273)
Ga (0.3340, 0.0000, 0.2273)
Ga (0.3340, 0.3340, 0.7273)
Ga (0.6660, 0.0000, 0.7273)
Ga (0.6660, 0.6660, 0.2273)
O (0.0000, 0.0000, 0.2005)
O (0.0000, 0.0000, 0.7005)
O (0.0000, 0.3059, 0.3952)
O (0.0000, 0.3614, 0.0620)
O (0.0000, 0.6386, 0.5620)
O (0.0000, 0.6941, 0.8952)
O (0.3059, 0.0000, 0.3952)
O (0.3059, 0.3059, 0.8952)
O (0.3333, 0.6667, 0.2504)
O (0.3333, 0.6667, 0.7504)
O (0.3614, 0.0000, 0.0620)
O (0.3614, 0.3614, 0.5620)
O (0.6386, 0.0000, 0.5620)
O (0.6386, 0.6386, 0.0620)
O (0.6667, 0.3333, 0.2504)
O (0.6667, 0.3333, 0.7504)
O (0.6941, 0.0000, 0.8952)
O (0.6941, 0.6941, 0.3952)

Record 6
# YZnGa2Cu
Theoretical powder X-ray diffraction pattern, a wavelength of 1.5418 Å. Input: the PBE geometry in Alexandria.
Neutral-atom scattering factors, no anomalous dispersion.

Main lines, low angle first (5 to 70 degrees two-theta):
2theta	I (rel.)
30.7	11
33.5	58
35.2	100
43.9	62
46.5	27
48.6	31
56.4	25
61.7	10
63.9	19
67.5	22

Cell and atoms:
a = 4.1231 Å, b = 4.1231 Å, c = 10.5211 Å
α = 90.00°, β = 90.00°, γ = 90.00°
Positions (direct):
Y (0.0000, 0.0000, 0.0000)
Y (0.5000, 0.5000, 0.5000)
Zn (0.0000, 0.5000, 0.2500)
Zn (0.5000, 0.0000, 0.7500)
Ga (0.0000, 0.0000, 0.3837)
Ga (0.0000, 0.0000, 0.6163)
Ga (0.5000, 0.5000, 0.1163)
Ga (0.5000, 0.5000, 0.8837)
Cu (0.0000, 0.5000, 0.7500)
Cu (0.5000, 0.0000, 0.2500)